Diffraction record for Cd4Si4O9. The powder diffraction line list is theoretical, not measured: it uses a structure optimized by DFT (GGA-PBE) and Cu Kα, 1.54184 Å.
Peak positions follow from Bragg's law for the DFT cell and can differ from measured ones.

Structure:
```
Cd4Si4O9
1.0
6.1428 0.0000 0.0000
0.0000 8.1968 0.0000
-1.4073 0.0000 11.0945
Cd Si O
8 8 18
direct
0.2121 0.1713 0.1479
0.2121 0.3287 0.6479
0.2666 0.6119 0.0848
0.2666 0.8881 0.5848
0.7334 0.1119 0.4152
0.7334 0.3881 0.9152
0.7879 0.6713 0.3521
0.7879 0.8287 0.8521
0.1441 0.1857 0.3768
0.1441 0.3143 0.8768
0.3066 0.5545 0.3911
0.3066 0.9455 0.8911
0.6934 0.0545 0.1089
0.6934 0.4455 0.6089
0.8559 0.6857 0.1232
0.8559 0.8143 0.6232
0.1418 0.6837 0.4445
0.1418 0.8163 0.9445
0.1631 0.1138 0.8531
0.1631 0.3862 0.3531
0.3144 0.1380 0.4978
0.3144 0.3620 0.9978
0.4295 0.6164 0.2785
0.4295 0.8836 0.7785
0.5000 0.0000 0.0000
0.5000 0.5000 0.5000
0.5705 0.1164 0.2215
0.5705 0.3836 0.7215
0.6856 0.6380 0.0022
0.6856 0.8620 0.5022
0.8369 0.6138 0.6469
0.8369 0.8862 0.1469
0.8582 0.1837 0.0555
0.8582 0.3163 0.5555
```

Principal peaks in the range 10 to 90 degrees two-theta, by angle:
20.2°, rel. 33; 23.0°, rel. 49; 23.1°, rel. 100; 26.9°, rel. 30; 28.0°, rel. 25; 29.3°, rel. 58; 31.4°, rel. 25; 32.3°, rel. 26; 32.6°, rel. 41; 46.6°, rel. 27


Diffraction record for ZrO. The powder diffraction line list is theoretical, not measured: it uses a structure optimized by DFT (GGA-PBE) and Cu Kα, 1.54184 Å.
Peak positions follow from Bragg's law for the DFT cell and can differ from measured ones.

Structure:
```
ZrO
1.0
0.0000 2.5133 2.5133
2.5133 0.0000 2.5133
2.5133 2.5133 0.0000
Zr O
1 1
direct
0.0000 0.0000 0.0000
0.7500 0.7500 0.7500
```

Principal peaks in the range 10 to 90 degrees two-theta, by angle:
30.8°, rel. 100; 35.7°, rel. 33; 51.4°, rel. 44; 61.1°, rel. 39; 64.2°, rel. 8; 75.7°, rel. 6; 83.9°, rel. 16; 86.6°, rel. 11


Diffraction record for CoNi2S4. The powder diffraction line list is theoretical, not measured: it uses a structure optimized by DFT (GGA-PBE) and Cu Kα, 1.54184 Å.
Peak positions follow from Bragg's law for the DFT cell and can differ from measured ones.

Structure:
```
CoNi2S4
1.0
0.0000 5.8381 3.4632
4.9753 0.0000 3.4632
4.9753 5.8381 0.0000
Co Ni S
2 4 8
direct
0.0000 0.0000 0.0000
0.2500 0.2500 0.2500
0.3074 0.7354 0.6897
0.5603 0.9825 0.9426
0.7354 0.3074 0.2675
0.9825 0.5603 0.5146
0.2508 0.2827 0.9414
0.2701 0.8249 0.3886
0.2827 0.2508 0.5250
0.3086 0.7249 0.9992
0.7250 0.3086 0.9673
0.7335 0.8614 0.4251
0.8249 0.2701 0.5165
0.8614 0.7335 0.9799
```

Principal peaks in the range 10 to 90 degrees two-theta, by angle:
23.5°, rel. 35; 30.0°, rel. 98; 30.9°, rel. 71; 35.1°, rel. 90; 37.9°, rel. 84; 47.6°, rel. 100; 48.1°, rel. 59; 49.5°, rel. 34; 52.9°, rel. 45; 54.1°, rel. 88


Q: What is the formula in the first record?
A: Cd4Si4O9